# 1
Calculated powder XRD pattern of Y3Er5 for copper Kα, from a structure optimized by DFT (GGA-PBE).
Peak positions follow from Bragg's law for the DFT cell and can differ from measured ones.

Top 6 peaks for 2θ = 10–90°, sorted by position:
| 2theta | I (rel.) |
| --- | --- |
| 28.60 | 27 |
| 32.00 | 24 |
| 32.86 | 100 |
| 50.66 | 20 |
| 57.58 | 20 |
| 61.18 | 22 |

Structure:
a b c (Å): 7.2080 7.2080 5.5936
angles (deg): 90.00 90.00 120.00
Sites, in units of the cell vectors:
Y 0.0002 0.5001 0.0000
Y 0.4999 0.9998 0.0000
Y 0.4999 0.5001 0.0000
Er 0.0000 0.0000 0.0000
Er 0.3320 0.1660 0.5000
Er 0.3333 0.6667 0.5000
Er 0.8340 0.1660 0.5000
Er 0.8340 0.6680 0.5000

=====

# 2
Calculated powder XRD pattern of Y5Er3 for copper Kα, from a structure optimized by DFT (GGA-PBE).
Peak positions follow from Bragg's law for the DFT cell and can differ from measured ones.

Top 6 peaks for 2θ = 10–90°, sorted by position:
| 2theta | I (rel.) |
| --- | --- |
| 28.47 | 24 |
| 31.87 | 24 |
| 32.71 | 100 |
| 50.41 | 20 |
| 57.32 | 20 |
| 60.88 | 22 |

Structure:
a b c (Å): 5.6168 7.2411 12.5416
angles (deg): 90.00 90.00 90.00
Sites, in units of the cell vectors:
Y 0.0000 0.0000 0.0000
Y 0.0000 0.2497 0.2485
Y 0.0000 0.2503 0.7485
Y 0.0000 0.5000 0.5000
Y 0.0000 0.7503 0.2485
Y 0.0000 0.7497 0.7485
Y 0.5000 0.2491 0.4165
Y 0.5000 0.2509 0.9165
Y 0.5000 0.7491 0.9165
Y 0.5000 0.7509 0.4165
Er 0.0000 0.0000 0.5000
Er 0.0000 0.5000 0.0000
Er 0.5000 0.0000 0.1657
Er 0.5000 0.0000 0.6653
Er 0.5000 0.5000 0.1653
Er 0.5000 0.5000 0.6657

=====

# 3
Calculated powder XRD pattern of Er6Zn23 for copper Kα, from a structure optimized by DFT (GGA-PBE).
Peak positions follow from Bragg's law for the DFT cell and can differ from measured ones.

Top 6 peaks for 2θ = 10–90°, sorted by position:
| 2theta | I (rel.) |
| --- | --- |
| 30.99 | 20 |
| 34.94 | 30 |
| 37.14 | 85 |
| 40.57 | 100 |
| 43.15 | 18 |
| 62.66 | 23 |

Structure:
a b c (Å): 8.8953 8.8953 8.8953
angles (deg): 60.00 60.00 60.00
Sites, in units of the cell vectors:
Er 0.2045 0.2045 0.7955
Er 0.2045 0.7955 0.2045
Er 0.2045 0.7955 0.7955
Er 0.7955 0.2045 0.2045
Er 0.7955 0.2045 0.7955
Er 0.7955 0.7955 0.2045
Zn 0.0000 0.0000 0.5000
Zn 0.0000 0.5000 0.0000
Zn 0.0000 0.5000 0.5000
Zn 0.1325 0.6225 0.6225
Zn 0.1704 0.1704 0.1704
Zn 0.1704 0.1704 0.4888
Zn 0.1704 0.4888 0.1704
Zn 0.3775 0.3775 0.3775
Zn 0.3775 0.3775 0.8675
Zn 0.3775 0.8675 0.3775
Zn 0.4888 0.1704 0.1704
Zn 0.5000 0.0000 0.0000
Zn 0.5000 0.0000 0.5000
Zn 0.5000 0.5000 0.0000
Zn 0.5000 0.5000 0.5000
Zn 0.5112 0.8296 0.8296
Zn 0.6225 0.1325 0.6225
Zn 0.6225 0.6225 0.1325
Zn 0.6225 0.6225 0.6225
Zn 0.8296 0.5112 0.8296
Zn 0.8296 0.8296 0.5112
Zn 0.8296 0.8296 0.8296
Zn 0.8675 0.3775 0.3775

=====

# 4
Calculated powder XRD pattern of Er2Zn17 for copper Kα, from a structure optimized by DFT (GGA-PBE).
Peak positions follow from Bragg's law for the DFT cell and can differ from measured ones.

Top 6 peaks for 2θ = 10–90°, sorted by position:
| 2theta | I (rel.) |
| --- | --- |
| 28.68 | 29 |
| 34.87 | 40 |
| 38.85 | 36 |
| 40.48 | 58 |
| 40.74 | 100 |
| 41.54 | 31 |

Structure:
a b c (Å): 8.9140 8.9140 8.6967
angles (deg): 90.00 90.00 120.00
Sites, in units of the cell vectors:
Er 0.0000 0.0000 0.2500
Er 0.0000 0.0000 0.7500
Er 0.3333 0.6667 0.2500
Er 0.6667 0.3333 0.7500
Zn 0.0000 0.5000 0.0000
Zn 0.0000 0.5000 0.5000
Zn 0.0363 0.3648 0.7500
Zn 0.0363 0.6715 0.7500
Zn 0.1616 0.3231 0.0210
Zn 0.1616 0.3231 0.4790
Zn 0.1616 0.8384 0.0210
Zn 0.1616 0.8384 0.4790
Zn 0.3231 0.1616 0.5210
Zn 0.3231 0.1616 0.9790
Zn 0.3285 0.3648 0.7500
Zn 0.3285 0.9637 0.7500
Zn 0.3333 0.6667 0.6008
Zn 0.3333 0.6667 0.8992
Zn 0.3648 0.0363 0.2500
Zn 0.3648 0.3285 0.2500
Zn 0.5000 0.0000 0.0000
Zn 0.5000 0.0000 0.5000
Zn 0.5000 0.5000 0.0000
Zn 0.5000 0.5000 0.5000
Zn 0.6352 0.6715 0.7500
Zn 0.6352 0.9637 0.7500
Zn 0.6667 0.3333 0.1008
Zn 0.6667 0.3333 0.3992
Zn 0.6715 0.0363 0.2500
Zn 0.6715 0.6352 0.2500
Zn 0.6769 0.8384 0.0210
Zn 0.6769 0.8384 0.4790
Zn 0.8384 0.1616 0.5210
Zn 0.8384 0.1616 0.9790
Zn 0.8384 0.6769 0.5210
Zn 0.8384 0.6769 0.9790
Zn 0.9637 0.3285 0.2500
Zn 0.9637 0.6352 0.2500